No. 1
The following is a theoretical powder X-ray diffraction pattern of V3O4F2. It was derived from a DFT-relaxed cell (PBE+U, the Materials Project), using Cu Kα.
No peak broadening, texture or thermal motion is included.

The 10 most intense peaks (5° ≤ 2θ ≤ 70°), in order of falling intensity:
35.0 deg, I 100.0
27.2 deg, I 96.9
26.9 deg, I 96.2
53.3 deg, I 59.1
53.0 deg, I 57.1
67.6 deg, I 41.4
40.3 deg, I 21.2
40.1 deg, I 21.2
60.4 deg, I 19.1
56.0 deg, I 18.8

Crystal structure
Unit cell a=3.065 b=10.466 c=10.466 alpha=36.55 beta=90.00 gamma=90.00
Positions (direct):
V: 0.000 0.000 0.000
V: 0.000 0.320 0.320
V: 0.000 0.659 0.659
V: 0.500 0.160 0.160
V: 0.500 0.499 0.499
V: 0.500 0.819 0.819
O: 0.000 0.020 0.632
O: 0.000 0.281 0.706
O: 0.000 0.632 0.020
O: 0.000 0.706 0.281
O: 0.500 0.061 0.061
O: 0.500 0.257 0.257
O: 0.500 0.596 0.596
O: 0.500 0.725 0.725
F: 0.000 0.354 0.964
F: 0.000 0.964 0.354
F: 0.500 0.392 0.392
F: 0.500 0.928 0.928

No. 2
The following is a theoretical powder X-ray diffraction pattern of V6O5F19. It was derived from a DFT-relaxed cell (PBE+U, the Materials Project), using Cu Kα.
No peak broadening, texture or thermal motion is included.

The 10 most intense peaks (5° ≤ 2θ ≤ 70°), in order of falling intensity:
18.1 deg, I 100.0
24.5 deg, I 94.0
25.3 deg, I 87.3
48.3 deg, I 15.8
32.6 deg, I 15.0
46.5 deg, I 14.1
54.3 deg, I 13.0
40.6 deg, I 12.5
36.8 deg, I 12.5
52.3 deg, I 11.7

Crystal structure
Unit cell a=5.357 b=5.497 c=14.924 alpha=79.43 beta=89.66 gamma=87.95
Positions (direct):
V: 0.000 0.000 0.000
V: 0.001 0.659 0.668
V: 0.083 0.362 0.325
V: 0.493 0.510 0.993
V: 0.518 0.195 0.662
V: 0.590 0.901 0.336
O: 0.264 0.339 0.978
O: 0.314 0.162 0.312
O: 0.815 0.085 0.354
O: 0.824 0.763 0.015
O: 0.836 0.409 0.689
F: 0.089 0.342 0.445
F: 0.124 0.993 0.110
F: 0.128 0.688 0.774
F: 0.240 0.030 0.637
F: 0.240 0.652 0.304
F: 0.308 0.830 0.969
F: 0.318 0.514 0.639
F: 0.441 0.816 0.443
F: 0.461 0.173 0.780
F: 0.469 0.521 0.111
F: 0.593 0.924 0.216
F: 0.628 0.585 0.883
F: 0.632 0.257 0.549
F: 0.731 0.888 0.689
F: 0.745 0.593 0.351
F: 0.750 0.247 0.025
F: 0.939 0.421 0.216
F: 0.956 0.767 0.550
F: 0.963 0.124 0.882

No. 3
The following is a theoretical powder X-ray diffraction pattern of VOF2. It was derived from a DFT-relaxed cell (PBE+U, the Materials Project), using Cu Kα.
No peak broadening, texture or thermal motion is included.

The 10 most intense peaks (5° ≤ 2θ ≤ 70°), in order of falling intensity:
23.5 deg, I 100.0
24.1 deg, I 52.5
48.0 deg, I 22.6
53.7 deg, I 22.5
54.6 deg, I 16.2
33.4 deg, I 11.3
39.6 deg, I 9.3
39.8 deg, I 8.4
49.4 deg, I 8.3
33.1 deg, I 7.0

Crystal structure
Unit cell a=5.422 b=5.300 c=7.393 alpha=90.00 beta=92.51 gamma=90.00
Positions (direct):
V: 0.250 0.000 0.030
V: 0.250 0.024 0.530
V: 0.750 0.500 0.970
V: 0.750 0.524 0.470
O: 0.249 0.080 0.753
O: 0.250 0.945 0.253
O: 0.750 0.445 0.747
O: 0.751 0.580 0.247
F: 0.054 0.314 0.039
F: 0.056 0.708 0.539
F: 0.443 0.321 0.461
F: 0.445 0.705 0.961
F: 0.555 0.205 0.039
F: 0.557 0.821 0.539
F: 0.944 0.208 0.461
F: 0.946 0.814 0.961

No. 4
The following is a theoretical powder X-ray diffraction pattern of VOF2. It was derived from a DFT-relaxed cell (PBE+U, the Materials Project), using Cu Kα.
No peak broadening, texture or thermal motion is included.

The 10 most intense peaks (5° ≤ 2θ ≤ 70°), in order of falling intensity:
23.2 deg, I 100.0
24.7 deg, I 53.5
47.3 deg, I 24.3
53.3 deg, I 23.6
33.0 deg, I 11.7
33.7 deg, I 11.1
50.8 deg, I 11.1
53.5 deg, I 9.4
55.9 deg, I 9.0
39.0 deg, I 6.7

Crystal structure
Unit cell a=5.200 b=5.200 c=5.437 alpha=119.93 beta=119.93 gamma=62.92
Positions (direct):
V: 0.000 0.500 0.000
V: 0.500 0.000 0.500
O: 0.201 0.799 0.250
O: 0.799 0.201 0.750
F: 0.227 0.333 0.726
F: 0.333 0.227 0.226
F: 0.667 0.773 0.774
F: 0.773 0.667 0.274

- Number 4 is which compound?
  VOF2

- What is the formula in the fourth record?
  VOF2